# 1
This entry pairs a crystal structure of K5Rb2 with its calculated X-ray powder pattern. Radiation: CuKα. Structure: a structure optimized by DFT (GGA-PBE).
Neutral-atom scattering factors, no anomalous dispersion.

Atomic structure:
a = 5.162 Å, b = 5.162 Å, c = 40.477 Å
α = 90.00°, β = 90.00°, γ = 90.00°
Space group I4/mmm (No. 139)
Inequivalent atoms, fractional coordinates:
K 0.000 0.000 0.000 (multiplicity 2)
K 0.000 0.000 0.135 (multiplicity 4)
K 0.000 0.000 0.432 (multiplicity 4)
Rb 0.000 0.000 0.291 (multiplicity 4)

The 6 most intense peaks (2θ = 5–70°), by angle:
20.40 deg, rel. 14, (1 0 5); 23.10 deg, rel. 100, (1 0 7); 24.39 deg, rel. 46, (1 1 0); 34.76 deg, rel. 18, (2 0 0); 39.77 deg, rel. 18, (1 1 14); 42.15 deg, rel. 37, (2 1 7)


# 2
This entry pairs a crystal structure of KRbS2 with its calculated X-ray powder pattern. Radiation: CuKα. Structure: a structure optimized by DFT (GGA-PBE).
Neutral-atom scattering factors, no anomalous dispersion.

Atomic structure:
a = 4.728 Å, b = 4.728 Å, c = 22.692 Å
α = 90.00°, β = 90.00°, γ = 90.00°
Space group P4_1 (No. 76)
Inequivalent atoms, fractional coordinates:
K 0.120 0.333 0.000 (multiplicity 4)
Rb 0.125 0.681 0.129 (multiplicity 4)
S 0.100 0.620 0.274 (multiplicity 4)
S 0.145 0.375 0.853 (multiplicity 4)

The 6 most intense peaks (2θ = 5–70°), by angle:
26.96 deg, rel. 100, (1 1 1); 27.24 deg, rel. 49, (1 0 5); 27.82 deg, rel. 88, (1 1 2); 31.54 deg, rel. 61, (0 0 8); 35.85 deg, rel. 53, (1 1 6); 38.28 deg, rel. 82, (2 0 1)


# 3
This entry pairs a crystal structure of K2RbTaS4 with its calculated X-ray powder pattern. Radiation: CuKα. Structure: a structure optimized by DFT (GGA-PBE).
Neutral-atom scattering factors, no anomalous dispersion.

Atomic structure:
a = 7.827 Å, b = 9.071 Å, c = 9.076 Å
α = 71.36°, β = 64.72°, γ = 64.77°
Space group P1 (No. 1)
Inequivalent atoms, fractional coordinates:
K 0.000 0.000 0.000 (multiplicity 1)
K 0.001 0.920 0.500 (multiplicity 1)
K 0.500 0.986 0.014 (multiplicity 1)
K 0.997 0.499 0.080 (multiplicity 1)
Rb 0.000 0.448 0.552 (multiplicity 1)
Rb 0.500 0.476 0.524 (multiplicity 1)
Ta 0.489 0.590 0.928 (multiplicity 1)
Ta 0.510 0.072 0.409 (multiplicity 1)
S 0.250 0.177 0.307 (multiplicity 1)
S 0.261 0.720 0.792 (multiplicity 1)
S 0.309 0.647 0.193 (multiplicity 1)
S 0.370 0.122 0.676 (multiplicity 1)
S 0.630 0.324 0.878 (multiplicity 1)
S 0.691 0.807 0.353 (multiplicity 1)
S 0.738 0.209 0.280 (multiplicity 1)
S 0.750 0.693 0.822 (multiplicity 1)

The 6 most intense peaks (2θ = 5–70°), by angle:
13.34 deg, rel. 100, (1 1 1); 16.75 deg, rel. 36, (0 1 -1); 21.47 deg, rel. 73, (1 2 0); 21.98 deg, rel. 46, (0 2 0); 28.36 deg, rel. 71, (2 2 0); 28.46 deg, rel. 33, (0 2 2)


# 4
This entry pairs a crystal structure of KRb2TeS4 with its calculated X-ray powder pattern. Radiation: CuKα. Structure: a structure optimized by DFT (GGA-PBE).
Neutral-atom scattering factors, no anomalous dispersion.

Atomic structure:
a = 7.166 Å, b = 13.850 Å, c = 28.156 Å
α = 90.00°, β = 90.00°, γ = 90.00°
Space group Fddd (No. 70, origin choice 2)
Inequivalent atoms, fractional coordinates:
K 0.125 0.125 0.125 (multiplicity 8)
Rb 0.125 0.125 0.321 (multiplicity 16)
Te 0.125 0.125 0.625 (multiplicity 8)
S 0.062 0.260 0.829 (multiplicity 32)

The 6 most intense peaks (2θ = 5–70°), by angle:
12.58 deg, rel. 100, (0 0 4); 16.83 deg, rel. 52, (1 1 3); 22.89 deg, rel. 41, (0 2 6); 24.83 deg, rel. 51, (1 3 3); 28.04 deg, rel. 47, (2 2 0); 32.05 deg, rel. 29, (1 3 7)


# 5
This entry pairs a crystal structure of KRbTiS3 with its calculated X-ray powder pattern. Radiation: CuKα. Structure: a structure optimized by DFT (GGA-PBE).
Neutral-atom scattering factors, no anomalous dispersion.

Atomic structure:
a = 7.508 Å, b = 14.577 Å, c = 6.644 Å
α = 90.00°, β = 101.93°, γ = 90.00°
Space group C2/c (No. 15)
Inequivalent atoms, fractional coordinates:
K 0.000 0.088 0.250 (multiplicity 4)
Rb 0.000 0.264 0.750 (multiplicity 4)
Ti 0.000 0.453 0.250 (multiplicity 4)
S 0.000 0.299 0.250 (multiplicity 4)
S 0.204 0.462 0.997 (multiplicity 8)

The 6 most intense peaks (2θ = 5–70°), by angle:
13.50 deg, rel. 29, (1 1 0); 24.23 deg, rel. 35, (2 0 0); 24.48 deg, rel. 52, (0 4 0); 27.22 deg, rel. 100, (1 3 1); 32.80 deg, rel. 48, (2 0 -2); 40.69 deg, rel. 25, (2 0 2)


# 6
This entry pairs a crystal structure of KRbTlS2 with its calculated X-ray powder pattern. Radiation: CuKα. Structure: a structure optimized by DFT (GGA-PBE).
Neutral-atom scattering factors, no anomalous dispersion.

Atomic structure:
a = 7.618 Å, b = 7.230 Å, c = 8.221 Å
α = 90.00°, β = 90.24°, γ = 90.00°
Space group P2/c (No. 13)
Inequivalent atoms, fractional coordinates:
K 0.000 0.000 0.250 (multiplicity 2)
Rb 0.500 0.497 0.250 (multiplicity 2)
Tl 0.000 0.500 0.000 (multiplicity 2)
S 0.238 0.244 0.501 (multiplicity 4)

The 6 most intense peaks (2θ = 5–70°), by angle:
11.62 deg, rel. 43, (1 0 0); 12.24 deg, rel. 87, (0 1 0); 24.61 deg, rel. 59, (0 2 0); 26.45 deg, rel. 31, (2 1 0); 27.57 deg, rel. 100, (1 1 2); 34.19 deg, rel. 41, (2 2 0)


# 7
This entry pairs a crystal structure of K2RbV2S7 with its calculated X-ray powder pattern. Radiation: CuKα. Structure: a structure optimized by DFT (GGA-PBE).
Neutral-atom scattering factors, no anomalous dispersion.

Atomic structure:
a = 6.5990 Å, b = 6.5990 Å, c = 32.9152 Å
α = 90.00°, β = 90.00°, γ = 120.00°
Space group R32 (No. 155, hexagonal axes)
Inequivalent atoms, fractional coordinates:
K 0.0000 0.0000 0.1893 (multiplicity 6)
Rb 0.0000 0.0000 0.0000 (multiplicity 3)
V 0.0000 0.0000 0.4322 (multiplicity 6)
S 0.0000 0.0000 0.5000 (multiplicity 3)
S 0.0102 0.3093 0.5886 (multiplicity 18)

The 6 most intense peaks (2θ = 5–70°), by angle:
16.42 deg, rel. 85, (0 1 2); 20.58 deg, rel. 100, (0 1 5); 27.02 deg, rel. 87, (1 1 0); 31.64 deg, rel. 97, (1 1 6); 32.65 deg, rel. 27, (0 0 12); 47.74 deg, rel. 52, (3 0 0)